[1]
This entry pairs a crystal structure of LaHfPt3 with its calculated powder X-ray diffraction pattern. Radiation: Cu Kα (weighted mean of Kα1 and Kα2). Structure: the PBE geometry in Alexandria.
Lines closer than 0.1° are merged.

Largest 6 diffraction maxima, in order of rising 2θ, 5° ≤ 2θ ≤ 70°:
- 2θ = 17.79°, d 4.987, rel. 38, (1 0 0)
- 2θ = 31.06°, d 2.879, rel. 72, (1 1 1)
- 2θ = 36.02°, d 2.493, rel. 100, (2 0 0)
- 2θ = 51.86°, d 1.763, rel. 72, (2 2 0)
- 2θ = 61.69°, d 1.504, rel. 31, (3 1 1)
- 2θ = 64.76°, d 1.440, rel. 25, (2 2 2)

```
data_LaHfPt3
_space_group_name_H-M_alt 'P m -3 m'
_space_group_IT_number 221
_space_group_name_Hall '-P 4 2 3'
_cell_length_a 4.987
_cell_length_b 4.987
_cell_length_c 4.987
_cell_angle_alpha 90.00
_cell_angle_beta 90.00
_cell_angle_gamma 90.00
loop_
_atom_site_label
_atom_site_fract_x
_atom_site_fract_y
_atom_site_fract_z
La1 0.000 0.000 0.000
Hf1 0.500 0.500 0.500
Pt1 0.000 0.500 0.500
```

***

[2]
This entry pairs a crystal structure of Fe2TcPb with its calculated powder X-ray diffraction pattern. Radiation: Cu Kα (weighted mean of Kα1 and Kα2). Structure: the PBE geometry in Alexandria.
Lines closer than 0.1° are merged.

Largest 6 diffraction maxima, in order of rising 2θ, 5° ≤ 2θ ≤ 70°:
- 2θ = 24.78°, d 3.593, rel. 28, (2 0 -1)
- 2θ = 31.16°, d 2.871, rel. 27, (2 0 1)
- 2θ = 37.97°, d 2.370, rel. 100, (1 1 1)
- 2θ = 38.76°, d 2.323, rel. 46, (2 0 -2)
- 2θ = 42.86°, d 2.110, rel. 42, (4 0 0)
- 2θ = 45.01°, d 2.014, rel. 66, (3 1 -1)

```
data_Fe2TcPb
_space_group_name_H-M_alt 'C 1 m 1'
_space_group_IT_number 8
_cell_length_a 8.656
_cell_length_b 3.017
_cell_length_c 4.932
_cell_angle_alpha 90.00
_cell_angle_beta 102.86
_cell_angle_gamma 90.00
loop_
_space_group_symop_operation_xyz
'x,y,z'
'x,-y,z'
'x+1/2,y+1/2,z'
'x+1/2,-y+1/2,z'
loop_
_atom_site_label
_atom_site_fract_x
_atom_site_fract_y
_atom_site_fract_z
Fe1 0.000 0.000 0.000
Fe2 0.230 0.500 0.205
Tc1 0.472 0.000 0.394
Pb1 0.239 0.000 0.719
```

***

[3]
This entry pairs a crystal structure of ThSe6Cl12 with its calculated powder X-ray diffraction pattern. Radiation: Cu Kα (weighted mean of Kα1 and Kα2). Structure: the PBE geometry in Alexandria.
Lines closer than 0.1° are merged.

Largest 6 diffraction maxima, in order of rising 2θ, 5° ≤ 2θ ≤ 70°:
- 2θ = 12.36°, d 7.162, rel. 100, (0 0 3)
- 2θ = 16.63°, d 5.329, rel. 25, (1 1 0)
- 2θ = 20.78°, d 4.276, rel. 47, (2 -1 3)
- 2θ = 25.87°, d 3.444, rel. 25, (2 1 1)
- 2θ = 26.87°, d 3.318, rel. 24, (3 -2 2)
- 2θ = 30.06°, d 2.972, rel. 29, (1 1 6)

```
data_ThSe6Cl12
_space_group_name_H-M_alt 'R -3'
_space_group_IT_number 148
_space_group_name_Hall '-R 3'
_cell_length_a 10.6588
_cell_length_b 10.6588
_cell_length_c 21.4871
_cell_angle_alpha 90.00
_cell_angle_beta 90.00
_cell_angle_gamma 120.00
loop_
_atom_site_label
_atom_site_fract_x
_atom_site_fract_y
_atom_site_fract_z
Th1 0.0000 0.0000 0.0000
Se1 0.0445 0.1535 0.6633
Cl1 0.0441 0.7883 0.2540
Cl2 0.0478 0.8160 0.0695
```

***

[4]
This entry pairs a crystal structure of Ce4In2Ge with its calculated powder X-ray diffraction pattern. Radiation: Cu Kα (weighted mean of Kα1 and Kα2). Structure: the PBE geometry in Alexandria.
Lines closer than 0.1° are merged.

Largest 6 diffraction maxima, in order of rising 2θ, 5° ≤ 2θ ≤ 70°:
- 2θ = 31.58°, d 2.833, rel. 100, (1 1 1)
- 2θ = 34.30°, d 2.614, rel. 89, (1 7 0)
- 2θ = 34.54°, d 2.597, rel. 31, (0 6 1)
- 2θ = 39.13°, d 2.302, rel. 34, (2 0 0)
- 2θ = 40.85°, d 2.209, rel. 25, (0 8 1)
- 2θ = 62.13°, d 1.494, rel. 31, (1 7 2)

```
data_Ce4In2Ge
_space_group_name_H-M_alt 'C m m m'
_space_group_IT_number 65
_space_group_name_Hall '-C 2 2'
_cell_length_a 4.604
_cell_length_b 22.230
_cell_length_c 3.641
_cell_angle_alpha 90.00
_cell_angle_beta 90.00
_cell_angle_gamma 90.00
loop_
_atom_site_label
_atom_site_fract_x
_atom_site_fract_y
_atom_site_fract_z
Ce1 0.000 0.061 0.000
Ce2 0.000 0.352 0.500
In1 0.000 0.211 0.000
Ge1 0.000 0.500 0.500
```

***

[5]
This entry pairs a crystal structure of MgVNi2 with its calculated powder X-ray diffraction pattern. Radiation: Cu Kα (weighted mean of Kα1 and Kα2). Structure: the PBE geometry in Alexandria.
Lines closer than 0.1° are merged.

Largest 6 diffraction maxima, in order of rising 2θ, 5° ≤ 2θ ≤ 70°:
- 2θ = 14.23°, d 6.225, rel. 41, (0 0 1)
- 2θ = 30.28°, d 2.952, rel. 11, (1 0 0)
- 2θ = 42.19°, d 2.142, rel. 100, (1 0 2)
- 2θ = 43.35°, d 2.087, rel. 56, (1 1 0)
- 2θ = 54.02°, d 1.698, rel. 18, (1 0 3)
- 2θ = 62.98°, d 1.476, rel. 17, (2 0 0)

```
data_MgVNi2
_space_group_name_H-M_alt 'P 4/m m m'
_space_group_IT_number 123
_space_group_name_Hall '-P 4 2'
_cell_length_a 2.952
_cell_length_b 2.952
_cell_length_c 6.225
_cell_angle_alpha 90.00
_cell_angle_beta 90.00
_cell_angle_gamma 90.00
loop_
_atom_site_label
_atom_site_fract_x
_atom_site_fract_y
_atom_site_fract_z
Mg1 0.000 0.000 0.000
V1 0.000 0.000 0.500
Ni1 0.500 0.500 0.293
```

***

[6]
This entry pairs a crystal structure of La2Si3Ni with its calculated powder X-ray diffraction pattern. Radiation: Cu Kα (weighted mean of Kα1 and Kα2). Structure: the PBE geometry in Alexandria.
Lines closer than 0.1° are merged.

Largest 6 diffraction maxima, in order of rising 2θ, 5° ≤ 2θ ≤ 70°:
- 2θ = 25.24°, d 3.529, rel. 30, (0 0 4)
- 2θ = 32.53°, d 2.752, rel. 100, (2 2 2)
- 2θ = 41.06°, d 2.198, rel. 13, (0 4 0)
- 2θ = 44.47°, d 2.037, rel. 31, (4 0 0)
- 2θ = 56.17°, d 1.638, rel. 21, (0 2 8)
- 2θ = 62.11°, d 1.494, rel. 22, (4 4 0)

```
data_La2Si3Ni
_space_group_name_H-M_alt 'F m m m'
_space_group_IT_number 69
_space_group_name_Hall '-F 2 2'
_cell_length_a 8.152
_cell_length_b 8.794
_cell_length_c 14.113
_cell_angle_alpha 90.00
_cell_angle_beta 90.00
_cell_angle_gamma 90.00
loop_
_atom_site_label
_atom_site_fract_x
_atom_site_fract_y
_atom_site_fract_z
La1 0.000 0.246 0.000
La2 0.250 0.250 0.250
Si1 0.000 0.000 0.170
Si2 0.243 0.000 0.415
Ni1 0.000 0.000 0.333
```

***

[7]
This entry pairs a crystal structure of PrSmHoAg with its calculated powder X-ray diffraction pattern. Radiation: Cu Kα (weighted mean of Kα1 and Kα2). Structure: the PBE geometry in Alexandria.
Lines closer than 0.1° are merged.

Largest 6 diffraction maxima, in order of rising 2θ, 5° ≤ 2θ ≤ 70°:
- 2θ = 31.75°, d 2.819, rel. 100, (1 0 2)
- 2θ = 34.62°, d 2.591, rel. 47, (1 1 0)
- 2θ = 46.73°, d 1.944, rel. 9, (1 1 3)
- 2θ = 49.77°, d 1.832, rel. 17, (2 0 0)
- 2θ = 54.65°, d 1.679, rel. 12, (1 1 4)
- 2θ = 60.25°, d 1.536, rel. 32, (2 1 2)

```
data_PrSmHoAg
_space_group_name_H-M_alt 'P 4 m m'
_space_group_IT_number 99
_cell_length_a 3.664
_cell_length_b 3.664
_cell_length_c 8.822
_cell_angle_alpha 90.00
_cell_angle_beta 90.00
_cell_angle_gamma 90.00
loop_
_space_group_symop_operation_xyz
'x,y,z'
'-y,x,z'
'-x,-y,z'
'y,-x,z'
'-x,y,z'
'y,x,z'
'x,-y,z'
'-y,-x,z'
loop_
_atom_site_label
_atom_site_fract_x
_atom_site_fract_y
_atom_site_fract_z
Pr1 0.000 0.000 0.000
Sm1 0.500 0.500 0.704
Ho1 0.500 0.500 0.290
Ag1 0.000 0.000 0.484
```

***

[8]
This entry pairs a crystal structure of CaYTi2O6 with its calculated powder X-ray diffraction pattern. Radiation: Cu Kα (weighted mean of Kα1 and Kα2). Structure: the PBE geometry in Alexandria.
Lines closer than 0.1° are merged.

Largest 6 diffraction maxima, in order of rising 2θ, 5° ≤ 2θ ≤ 70°:
- 2θ = 32.06°, d 2.792, rel. 22, (0 2 0)
- 2θ = 32.76°, d 2.733, rel. 100, (2 1 1)
- 2θ = 33.33°, d 2.688, rel. 24, (0 0 2)
- 2θ = 46.92°, d 1.936, rel. 29, (0 2 2)
- 2θ = 47.11°, d 1.929, rel. 19, (4 0 0)
- 2θ = 59.20°, d 1.561, rel. 25, (2 1 3)

```
data_CaYTi2O6
_space_group_name_H-M_alt 'P m n 21'
_space_group_IT_number 31
_cell_length_a 7.716
_cell_length_b 5.583
_cell_length_c 5.377
_cell_angle_alpha 90.00
_cell_angle_beta 90.00
_cell_angle_gamma 90.00
loop_
_space_group_symop_operation_xyz
'x,y,z'
'-x+1/2,-y,z+1/2'
'-x,y,z'
'x+1/2,-y,z+1/2'
loop_
_atom_site_label
_atom_site_fract_x
_atom_site_fract_y
_atom_site_fract_z
Ca1 0.000 0.198 0.000
Y1 0.000 0.687 0.527
Ti1 0.250 0.247 0.511
O1 0.000 0.281 0.426
O2 0.000 0.778 0.114
O3 0.198 0.947 0.705
O4 0.203 0.459 0.805
```

***

[9]
This entry pairs a crystal structure of Na2CoBr5 with its calculated powder X-ray diffraction pattern. Radiation: Cu Kα (weighted mean of Kα1 and Kα2). Structure: the PBE geometry in Alexandria.
Lines closer than 0.1° are merged.

Largest 6 diffraction maxima, in order of rising 2θ, 5° ≤ 2θ ≤ 70°:
- 2θ = 14.62°, d 6.061, rel. 62, (1 1 1)
- 2θ = 15.01°, d 5.904, rel. 24, (2 0 0)
- 2θ = 26.39°, d 3.378, rel. 100, (1 2 2)
- 2θ = 26.97°, d 3.306, rel. 57, (3 2 0)
- 2θ = 36.88°, d 2.437, rel. 23, (4 0 2)
- 2θ = 39.27°, d 2.294, rel. 25, (2 4 2)

```
data_Na2CoBr5
_space_group_name_H-M_alt 'P n n m'
_space_group_IT_number 58
_cell_length_a 11.808
_cell_length_b 12.188
_cell_length_c 8.642
_cell_angle_alpha 90.00
_cell_angle_beta 90.00
_cell_angle_gamma 90.00
loop_
_space_group_symop_operation_xyz
'x,y,z'
'-x,-y,-z'
'-x,-y,z'
'x,y,-z'
'x+1/2,-y+1/2,-z+1/2'
'-x+1/2,y+1/2,z+1/2'
'-x+1/2,y+1/2,-z+1/2'
'x+1/2,-y+1/2,z+1/2'
loop_
_atom_site_label
_atom_site_fract_x
_atom_site_fract_y
_atom_site_fract_z
Na1 0.000 0.000 0.222
Na2 0.124 0.341 0.000
Co1 0.245 0.237 0.500
Br1 0.064 0.158 0.500
Br2 0.121 0.595 0.000
Br3 0.126 0.116 0.000
Br4 0.229 0.850 0.215
```

***

[10]
This entry pairs a crystal structure of Zn3SnSb4 with its calculated powder X-ray diffraction pattern. Radiation: Cu Kα (weighted mean of Kα1 and Kα2). Structure: the PBE geometry in Alexandria.
Lines closer than 0.1° are merged.

Largest 6 diffraction maxima, in order of rising 2θ, 5° ≤ 2θ ≤ 70°:
- 2θ = 25.93°, d 3.436, rel. 100, (1 1 1)
- 2θ = 33.67°, d 2.662, rel. 75, (2 1 0)
- 2θ = 36.99°, d 2.430, rel. 36, (2 1 1)
- 2θ = 42.98°, d 2.104, rel. 91, (2 2 0)
- 2θ = 45.73°, d 1.984, rel. 36, (3 0 0)
- 2θ = 64.56°, d 1.444, rel. 27, (3 2 2)

```
data_Zn3SnSb4
_space_group_name_H-M_alt 'P -4 3 m'
_space_group_IT_number 215
_space_group_name_Hall 'P -4 2 3'
_cell_length_a 5.952
_cell_length_b 5.952
_cell_length_c 5.952
_cell_angle_alpha 90.00
_cell_angle_beta 90.00
_cell_angle_gamma 90.00
loop_
_atom_site_label
_atom_site_fract_x
_atom_site_fract_y
_atom_site_fract_z
Zn1 0.000 0.000 0.500
Sn1 0.000 0.000 0.000
Sb1 0.296 0.296 0.296
```